[1]
Theoretical powder diffractogram
Compound: Na15CdHg4
Radiation: Cu Kα (λ = 1.5418 Å)
Structure: a structure optimized by DFT (GGA-PBE)
Peak positions follow from Bragg's law for the DFT cell and can differ from measured ones.

Cell and atoms:
Unit cell a=4.986 b=4.986 c=23.345 alpha=90.00 beta=90.00 gamma=90.00
Atoms (fractional coordinates):
Na1 0.000 0.000 0.000
Na2 0.000 0.000 0.201
Na3 0.000 0.000 0.400
Na4 0.000 0.000 0.600
Na5 0.000 0.000 0.799
Na6 0.000 0.500 0.102
Na7 0.000 0.500 0.301
Na8 0.000 0.500 0.500
Na9 0.000 0.500 0.699
Na10 0.000 0.500 0.898
Na11 0.500 0.000 0.102
Na12 0.500 0.000 0.301
Na13 0.500 0.000 0.500
Na14 0.500 0.000 0.699
Na15 0.500 0.000 0.898
Cd1 0.500 0.500 0.000
Hg1 0.500 0.500 0.201
Hg2 0.500 0.500 0.400
Hg3 0.500 0.500 0.600
Hg4 0.500 0.500 0.799

Most intense lines, 5 to 70 degrees two-theta, by angle:
| 2theta | I_rel |
| --- | --- |
| 17.79 | 75.3 |
| 19.01 | 32.5 |
| 25.26 | 33.5 |
| 26.15 | 61.7 |
| 31.81 | 100.0 |
| 36.03 | 35.8 |
| 45.06 | 29.7 |
| 62.14 | 28.4 |

[2]
Theoretical powder diffractogram
Compound: Rb2Cu3Sb5
Radiation: Cu Kα (λ = 1.5418 Å)
Structure: a structure optimized by DFT (GGA-PBE)
Peak positions follow from Bragg's law for the DFT cell and can differ from measured ones.

Cell and atoms:
Unit cell a=9.505 b=9.505 c=9.505 alpha=108.43 beta=86.88 gamma=137.59
Atoms (fractional coordinates):
Rb1 0.131 0.247 0.377
Rb2 0.369 0.747 0.116
Rb3 0.631 0.253 0.884
Rb4 0.869 0.753 0.623
Cu1 0.123 0.618 0.742
Cu2 0.250 0.250 0.000
Cu3 0.377 0.118 0.495
Cu4 0.623 0.882 0.505
Cu5 0.750 0.750 0.000
Cu6 0.877 0.382 0.258
Sb1 0.005 0.750 0.255
Sb2 0.106 0.862 0.968
Sb3 0.250 0.750 0.500
Sb4 0.394 0.362 0.756
Sb5 0.495 0.750 0.745
Sb6 0.505 0.250 0.255
Sb7 0.606 0.638 0.244
Sb8 0.750 0.250 0.500
Sb9 0.894 0.138 0.032
Sb10 0.995 0.250 0.745

Most intense lines, 5 to 70 degrees two-theta, by angle:
| 2theta | I_rel |
| --- | --- |
| 15.95 | 16.3 |
| 30.31 | 42.0 |
| 30.53 | 100.0 |
| 36.90 | 69.0 |
| 41.76 | 40.0 |
| 44.81 | 18.7 |
| 53.29 | 12.4 |
| 59.40 | 14.2 |

[3]
Theoretical powder diffractogram
Compound: NdEr5Bi6
Radiation: Cu Kα (λ = 1.5418 Å)
Structure: a structure optimized by DFT (GGA-PBE)
Peak positions follow from Bragg's law for the DFT cell and can differ from measured ones.

Cell and atoms:
Unit cell a=7.753 b=7.753 c=7.752 alpha=99.61 beta=99.61 gamma=120.01
Atoms (fractional coordinates):
Nd1 0.000 0.000 0.000
Er1 0.163 0.837 0.500
Er2 0.332 0.668 0.000
Er3 0.500 0.500 0.500
Er4 0.668 0.332 0.000
Er5 0.837 0.163 0.500
Bi1 0.085 0.425 0.255
Bi2 0.256 0.256 0.749
Bi3 0.425 0.085 0.255
Bi4 0.575 0.915 0.745
Bi5 0.744 0.744 0.251
Bi6 0.915 0.575 0.745

Most intense lines, 5 to 70 degrees two-theta, by angle:
| 2theta | I_rel |
| --- | --- |
| 24.36 | 2.6 |
| 28.20 | 100.0 |
| 40.30 | 78.0 |
| 47.65 | 1.5 |
| 49.91 | 28.3 |
| 58.31 | 13.4 |
| 64.13 | 0.7 |
| 66.01 | 37.0 |

[4]
Theoretical powder diffractogram
Compound: PmSnO4
Radiation: Cu Kα (λ = 1.5418 Å)
Structure: a structure optimized by DFT (GGA-PBE)
Peak positions follow from Bragg's law for the DFT cell and can differ from measured ones.

Cell and atoms:
Unit cell a=6.738 b=6.738 c=6.738 alpha=131.65 beta=131.65 gamma=70.79
Atoms (fractional coordinates):
Pm1 0.375 0.125 0.250
Pm2 0.625 0.875 0.750
Sn1 0.125 0.375 0.750
Sn2 0.875 0.625 0.250
O1 0.027 0.219 0.311
O2 0.216 0.527 0.308
O3 0.281 0.091 0.808
O4 0.409 0.716 0.189
O5 0.591 0.284 0.811
O6 0.719 0.909 0.192
O7 0.784 0.473 0.692
O8 0.973 0.781 0.689

Most intense lines, 5 to 70 degrees two-theta, by angle:
| 2theta | I_rel |
| --- | --- |
| 28.05 | 100.0 |
| 32.44 | 20.8 |
| 32.60 | 11.5 |
| 46.54 | 17.2 |
| 46.66 | 32.4 |
| 55.22 | 30.8 |
| 55.43 | 15.2 |
| 57.98 | 10.8 |